No. 1
# UBr5
Theoretical powder X-ray diffraction pattern, Cu Kα, 1.54184 Å. Input: a structure optimized by DFT (GGA-PBE).
Lines closer than 0.1° are merged.

Top 10 peaks for 2θ from 5° to 70°, in order of rising 2θ:
2θ = 13.0°, I = 100
2θ = 13.6°, I = 65
2θ = 13.8°, I = 53
2θ = 14.8°, I = 48
2θ = 15.0°, I = 42
2θ = 17.5°, I = 45
2θ = 27.3°, I = 70
2θ = 27.5°, I = 69
2θ = 27.7°, I = 70
2θ = 36.2°, I = 41

Unit cell a=7.399 b=7.971 c=10.855 alpha=108.64 beta=90.47 gamma=116.53
Sites, in units of the cell vectors:
U1 0.100 0.205 0.207
U2 0.900 0.795 0.793
Br1 0.069 0.821 0.582
Br2 0.106 0.622 0.849
Br3 0.234 0.179 0.956
Br4 0.296 0.014 0.245
Br5 0.426 0.557 0.325
Br6 0.574 0.443 0.675
Br7 0.704 0.986 0.755
Br8 0.766 0.821 0.044
Br9 0.894 0.378 0.151
Br10 0.931 0.179 0.418

---

No. 2
# MnCo5Tc
Theoretical powder X-ray diffraction pattern, Cu Kα, 1.54184 Å. Input: a structure optimized by DFT (GGA-PBE).
Lines closer than 0.1° are merged.

Top 10 peaks for 2θ from 5° to 70°, in order of rising 2θ:
2θ = 32.2°, I = 11
2θ = 35.3°, I = 19
2θ = 41.8°, I = 30
2θ = 44.7°, I = 55
2θ = 45.5°, I = 100
2θ = 45.7°, I = 36
2θ = 46.9°, I = 29
2θ = 47.0°, I = 12
2θ = 47.6°, I = 30
2θ = 53.7°, I = 11

Unit cell a=4.581 b=4.581 c=8.300 alpha=102.26 beta=102.26 gamma=97.16
Sites, in units of the cell vectors:
Mn1 0.242 0.758 0.750
Mn2 0.758 0.242 0.250
Co1 0.078 0.275 0.543
Co2 0.101 0.899 0.250
Co3 0.275 0.078 0.043
Co4 0.333 0.447 0.347
Co5 0.447 0.333 0.847
Co6 0.553 0.667 0.153
Co7 0.667 0.553 0.653
Co8 0.725 0.922 0.957
Co9 0.899 0.101 0.750
Co10 0.922 0.725 0.457
Tc1 0.000 0.500 0.000
Tc2 0.500 0.000 0.500

---

No. 3
# Ca5In4Ag
Theoretical powder X-ray diffraction pattern, Cu Kα, 1.54184 Å. Input: a structure optimized by DFT (GGA-PBE).
Lines closer than 0.1° are merged.

Top 10 peaks for 2θ from 5° to 70°, in order of rising 2θ:
2θ = 23.1°, I = 27
2θ = 23.5°, I = 13
2θ = 32.9°, I = 52
2θ = 33.2°, I = 100
2θ = 40.8°, I = 12
2θ = 47.2°, I = 18
2θ = 48.1°, I = 8
2θ = 58.9°, I = 36
2θ = 59.5°, I = 17
2θ = 69.7°, I = 10

Unit cell a=3.854 b=3.854 c=18.914 alpha=90.00 beta=90.00 gamma=90.00
Sites, in units of the cell vectors:
Ca1 0.000 0.000 0.000
Ca2 0.000 0.000 0.202
Ca3 0.000 0.000 0.404
Ca4 0.000 0.000 0.596
Ca5 0.000 0.000 0.798
In1 0.500 0.500 0.102
In2 0.500 0.500 0.301
In3 0.500 0.500 0.699
In4 0.500 0.500 0.898
Ag1 0.500 0.500 0.500

---

No. 4
# CuTe
Theoretical powder X-ray diffraction pattern, Cu Kα, 1.54184 Å. Input: a structure optimized by DFT (GGA-PBE).
Lines closer than 0.1° are merged.

Top 10 peaks for 2θ from 5° to 70°, in order of rising 2θ:
2θ = 12.1°, I = 100
2θ = 23.5°, I = 39
2θ = 24.3°, I = 35
2θ = 27.2°, I = 71
2θ = 27.8°, I = 34
2θ = 29.2°, I = 61
2θ = 42.2°, I = 56
2θ = 44.5°, I = 37
2θ = 45.0°, I = 37
2θ = 49.3°, I = 32

Unit cell a=10.376 b=10.376 c=4.073 alpha=90.00 beta=90.00 gamma=90.00
Sites, in units of the cell vectors:
Cu1 0.019 0.373 0.000
Cu2 0.141 0.674 0.500
Cu3 0.326 0.141 0.500
Cu4 0.373 0.981 0.000
Cu5 0.627 0.019 0.000
Cu6 0.674 0.859 0.500
Cu7 0.859 0.326 0.500
Cu8 0.981 0.627 0.000
Te1 0.103 0.249 0.500
Te2 0.213 0.536 0.000
Te3 0.249 0.897 0.500
Te4 0.464 0.213 0.000
Te5 0.536 0.787 0.000
Te6 0.751 0.103 0.500
Te7 0.787 0.464 0.000
Te8 0.897 0.751 0.500

---

No. 5
# Zn10Pd3
Theoretical powder X-ray diffraction pattern, Cu Kα, 1.54184 Å. Input: a structure optimized by DFT (GGA-PBE).
Lines closer than 0.1° are merged.

Top 10 peaks for 2θ from 5° to 70°, in order of rising 2θ:
2θ = 23.5°, I = 5
2θ = 23.9°, I = 9
2θ = 41.5°, I = 100
2θ = 41.7°, I = 73
2θ = 41.9°, I = 27
2θ = 42.1°, I = 16
2θ = 42.4°, I = 62
2θ = 42.5°, I = 4
2θ = 60.5°, I = 17
2θ = 61.2°, I = 5

Unit cell a=7.932 b=7.932 c=7.832 alpha=108.66 beta=108.66 gamma=110.06
Sites, in units of the cell vectors:
Zn1 0.000 0.000 0.000
Zn2 0.022 0.251 0.590
Zn3 0.240 0.895 0.871
Zn4 0.241 0.509 0.239
Zn5 0.248 0.248 0.399
Zn6 0.251 0.022 0.590
Zn7 0.252 0.602 0.949
Zn8 0.503 0.503 0.842
Zn9 0.509 0.241 0.239
Zn10 0.520 0.894 0.564
Zn11 0.599 0.599 0.235
Zn12 0.602 0.252 0.949
Zn13 0.604 0.604 0.586
Zn14 0.614 0.890 0.935
Zn15 0.631 0.990 0.309
Zn16 0.890 0.614 0.935
Zn17 0.894 0.520 0.564
Zn18 0.895 0.240 0.871
Zn19 0.899 0.899 0.605
Zn20 0.990 0.631 0.309
Pd1 0.255 0.255 0.928
Pd2 0.257 0.892 0.232
Pd3 0.267 0.610 0.609
Pd4 0.610 0.267 0.609
Pd5 0.890 0.890 0.246
Pd6 0.892 0.257 0.232

---

No. 6
# Tm4NiTe3
Theoretical powder X-ray diffraction pattern, Cu Kα, 1.54184 Å. Input: a structure optimized by DFT (GGA-PBE).
Lines closer than 0.1° are merged.

Top 10 peaks for 2θ from 5° to 70°, in order of rising 2θ:
2θ = 29.5°, I = 51
2θ = 29.9°, I = 100
2θ = 32.8°, I = 12
2θ = 38.0°, I = 10
2θ = 41.1°, I = 16
2θ = 42.5°, I = 69
2θ = 44.3°, I = 19
2θ = 51.4°, I = 14
2θ = 54.2°, I = 19
2θ = 69.6°, I = 11

Unit cell a=8.790 b=12.105 c=4.085 alpha=90.00 beta=90.00 gamma=90.00
Sites, in units of the cell vectors:
Tm1 0.000 0.226 0.000
Tm2 0.000 0.774 0.000
Tm3 0.204 0.000 0.500
Tm4 0.296 0.500 0.500
Tm5 0.500 0.274 0.000
Tm6 0.500 0.726 0.000
Tm7 0.704 0.500 0.500
Tm8 0.796 0.000 0.500
Ni1 0.000 0.000 0.000
Ni2 0.500 0.500 0.000
Te1 0.000 0.500 0.000
Te2 0.250 0.250 0.500
Te3 0.250 0.750 0.500
Te4 0.500 0.000 0.000
Te5 0.750 0.250 0.500
Te6 0.750 0.750 0.500

---

No. 7
# Ca4P5
Theoretical powder X-ray diffraction pattern, Cu Kα, 1.54184 Å. Input: a structure optimized by DFT (GGA-PBE).
Lines closer than 0.1° are merged.

Top 10 peaks for 2θ from 5° to 70°, in order of rising 2θ:
2θ = 16.5°, I = 41
2θ = 25.0°, I = 28
2θ = 33.3°, I = 71
2θ = 34.5°, I = 100
2θ = 38.5°, I = 38
2θ = 42.1°, I = 19
2θ = 48.3°, I = 19
2θ = 48.7°, I = 40
2θ = 59.9°, I = 22
2θ = 65.6°, I = 19

Unit cell a=7.838 b=7.838 c=7.838 alpha=93.32 beta=93.32 gamma=152.17
Sites, in units of the cell vectors:
Ca1 0.000 0.260 0.260
Ca2 0.000 0.740 0.740
Ca3 0.260 0.000 0.260
Ca4 0.740 0.000 0.740
P1 0.000 0.000 0.000
P2 0.294 0.294 0.589
P3 0.294 0.706 0.000
P4 0.706 0.294 0.000
P5 0.706 0.706 0.411

---

No. 8
# LiLa4Sn8
Theoretical powder X-ray diffraction pattern, Cu Kα, 1.54184 Å. Input: a structure optimized by DFT (GGA-PBE).
Lines closer than 0.1° are merged.

Top 10 peaks for 2θ from 5° to 70°, in order of rising 2θ:
2θ = 30.1°, I = 15
2θ = 31.6°, I = 100
2θ = 36.2°, I = 8
2θ = 39.0°, I = 16
2θ = 40.2°, I = 15
2θ = 50.0°, I = 12
2θ = 54.3°, I = 10
2θ = 57.2°, I = 11
2θ = 66.0°, I = 23
2θ = 67.7°, I = 11

Unit cell a=4.489 b=4.621 c=17.832 alpha=90.00 beta=90.00 gamma=90.00
Sites, in units of the cell vectors:
Li1 0.000 0.000 0.000
La1 0.000 0.000 0.776
La2 0.000 0.500 0.290
La3 0.500 0.000 0.577
La4 0.500 0.500 0.079
Sn1 0.000 0.000 0.145
Sn2 0.000 0.000 0.430
Sn3 0.000 0.500 0.617
Sn4 0.000 0.500 0.918
Sn5 0.500 0.000 0.253
Sn6 0.500 0.000 0.917
Sn7 0.500 0.500 0.438
Sn8 0.500 0.500 0.728